For HfS4I2Cl4, the GGA-PBE geometry in OQMD gives the computed X-ray diffraction stick pattern in this record (copper Kα).
Peak positions follow from Bragg's law for the DFT cell and can differ from measured ones.

Main lines, in order of rising 2θ (10 to 90 degrees two-theta):
(hkl), d [Å], intensity
1 0 0, 6.301, 100
0 1 1, 6.150, 47
1 1 1, 5.483, 35
1 0 -1, 5.301, 51
1 0 1, 4.171, 47
0 1 2, 3.916, 61
1 2 0, 3.366, 43
2 2 0, 3.085, 45
2 0 1, 2.635, 40
2 1 -2, 2.466, 47

Cell and atoms:
a = 7.434 Å, b = 7.575 Å, c = 7.890 Å
α = 63.20°, β = 87.90°, γ = 60.72°
Positions (direct):
Hf1 0.000 0.000 0.000
S1 0.325 0.099 0.343
S2 0.392 0.226 0.491
S3 0.608 0.774 0.509
S4 0.675 0.901 0.657
I1 0.062 0.390 0.797
I2 0.938 0.610 0.203
Cl1 0.145 0.869 0.773
Cl2 0.359 0.770 0.204
Cl3 0.641 0.230 0.796
Cl4 0.855 0.131 0.227